1.
Ba3LiRu2O9: simulated powder diffraction line list (Cu Kα (λ = 1.5418 Å)), based on a cell relaxed with PBE.
Kinematic intensities with the Lorentz-polarization factor, no thermal factor.

Top 10 peaks for 10° ≤ 2θ ≤ 80°, in order of falling intensity:
- 30.5 deg, intensity 100
- 54.1 deg, intensity 27
- 43.6 deg, intensity 22
- 37.5 deg, intensity 17
- 21.4 deg, intensity 16
- 47.7 deg, intensity 15
- 25.5 deg, intensity 15
- 63.4 deg, intensity 15
- 35.9 deg, intensity 15
- 57.7 deg, intensity 14

Structural model:
Cell: 5.868 5.868 14.394 Å, 90.00 90.00 120.00°
Element x y z (fractional)
Ba  0.000  0.000  0.250
Ba  0.000  0.000  0.750
Ba  0.333  0.667  0.090
Ba  0.333  0.667  0.410
Ba  0.667  0.333  0.590
Ba  0.667  0.333  0.910
Li  0.000  0.000  0.000
Li  0.000  0.000  0.500
Ru  0.333  0.667  0.652
Ru  0.333  0.667  0.848
Ru  0.667  0.333  0.152
Ru  0.667  0.333  0.348
O  0.033  0.517  0.750
O  0.174  0.348  0.586
O  0.174  0.348  0.914
O  0.174  0.826  0.586
O  0.174  0.826  0.914
O  0.348  0.174  0.086
O  0.348  0.174  0.414
O  0.483  0.517  0.750
O  0.483  0.967  0.750
O  0.517  0.033  0.250
O  0.517  0.483  0.250
O  0.652  0.826  0.586
O  0.652  0.826  0.914
O  0.826  0.174  0.086
O  0.826  0.174  0.414
O  0.826  0.652  0.086
O  0.826  0.652  0.414
O  0.967  0.483  0.250

2.
FeNiS4: simulated powder diffraction line list (Cu Kα (λ = 1.5418 Å)), based on a cell relaxed with PBE.
Kinematic intensities with the Lorentz-polarization factor, no thermal factor.

Top 10 peaks for 10° ≤ 2θ ≤ 80°, in order of falling intensity:
- 32.4 deg, intensity 100
- 55.1 deg, intensity 73
- 32.7 deg, intensity 49
- 36.3 deg, intensity 41
- 36.6 deg, intensity 31
- 28.1 deg, intensity 30
- 40.0 deg, intensity 30
- 28.0 deg, intensity 28
- 55.3 deg, intensity 27
- 46.4 deg, intensity 27

Structural model:
Cell: 5.477 5.537 5.524 Å, 90.00 90.37 90.00°
Element x y z (fractional)
Fe  0.000  0.000  0.000
Fe  0.000  0.500  0.500
Ni  0.500  0.000  0.500
Ni  0.500  0.500  0.000
S  0.106  0.119  0.381
S  0.106  0.381  0.881
S  0.381  0.607  0.395
S  0.381  0.893  0.895
S  0.619  0.107  0.105
S  0.619  0.393  0.605
S  0.894  0.619  0.119
S  0.894  0.881  0.619

3.
LiB6H6: simulated powder diffraction line list (Cu Kα (λ = 1.5418 Å)), based on a cell relaxed with PBE.
Kinematic intensities with the Lorentz-polarization factor, no thermal factor.

Top 10 peaks for 10° ≤ 2θ ≤ 80°, in order of falling intensity:
- 15.1 deg, intensity 100
- 17.5 deg, intensity 17
- 39.8 deg, intensity 10
- 53.5 deg, intensity 4
- 71.5 deg, intensity 3
- 38.7 deg, intensity 3
- 69.4 deg, intensity 2
- 66.5 deg, intensity 2
- 57.5 deg, intensity 2
- 29.2 deg, intensity 1

Structural model:
Cell: 7.165 7.165 7.165 Å, 60.00 60.00 60.00°
Element x y z (fractional)
Li  0.250  0.250  0.250
Li  0.750  0.750  0.750
B  0.055  0.229  0.945
B  0.055  0.771  0.229
B  0.055  0.945  0.771
B  0.229  0.055  0.771
B  0.229  0.771  0.945
B  0.229  0.945  0.055
B  0.771  0.055  0.945
B  0.771  0.229  0.055
B  0.771  0.945  0.229
B  0.945  0.055  0.229
B  0.945  0.229  0.771
B  0.945  0.771  0.055
H  0.100  0.391  0.900
H  0.100  0.609  0.391
H  0.100  0.900  0.609
H  0.391  0.100  0.609
H  0.391  0.609  0.900
H  0.391  0.900  0.100
H  0.609  0.100  0.900
H  0.609  0.391  0.100
H  0.609  0.900  0.391
H  0.900  0.100  0.391
H  0.900  0.391  0.609
H  0.900  0.609  0.100

4.
TmGeRh: simulated powder diffraction line list (Cu Kα (λ = 1.5418 Å)), based on a cell relaxed with PBE.
Kinematic intensities with the Lorentz-polarization factor, no thermal factor.

Top 10 peaks for 10° ≤ 2θ ≤ 80°, in order of falling intensity:
- 35.6 deg, intensity 100
- 34.3 deg, intensity 65
- 41.7 deg, intensity 45
- 42.2 deg, intensity 40
- 35.4 deg, intensity 32
- 41.3 deg, intensity 29
- 68.1 deg, intensity 27
- 38.1 deg, intensity 21
- 56.2 deg, intensity 17
- 60.5 deg, intensity 16

Structural model:
Cell: 6.851 4.287 7.541 Å, 90.00 90.00 90.00°
Element x y z (fractional)
Tm  0.004  0.250  0.195
Tm  0.496  0.750  0.695
Tm  0.504  0.250  0.305
Tm  0.996  0.750  0.805
Ge  0.214  0.750  0.393
Ge  0.286  0.250  0.893
Ge  0.714  0.750  0.107
Ge  0.786  0.250  0.607
Rh  0.157  0.250  0.567
Rh  0.343  0.750  0.067
Rh  0.657  0.250  0.933
Rh  0.843  0.750  0.433

5.
ErCd2Cu: simulated powder diffraction line list (Cu Kα (λ = 1.5418 Å)), based on a cell relaxed with PBE.
Kinematic intensities with the Lorentz-polarization factor, no thermal factor.

Top 10 peaks for 10° ≤ 2θ ≤ 80°, in order of falling intensity:
- 36.5 deg, intensity 100
- 38.9 deg, intensity 28
- 34.1 deg, intensity 21
- 39.4 deg, intensity 21
- 52.7 deg, intensity 19
- 34.6 deg, intensity 17
- 24.6 deg, intensity 17
- 68.9 deg, intensity 15
- 30.8 deg, intensity 11
- 39.8 deg, intensity 11

Structural model:
Cell: 6.310 6.310 4.628 Å, 90.00 90.00 113.10°
Element x y z (fractional)
Er  0.141  0.859  0.750
Er  0.859  0.141  0.250
Cd  0.196  0.387  0.750
Cd  0.387  0.196  0.250
Cd  0.613  0.804  0.750
Cd  0.804  0.613  0.250
Cu  0.320  0.680  0.250
Cu  0.680  0.320  0.750

6.
Ta4GaTe6Se2: simulated powder diffraction line list (Cu Kα (λ = 1.5418 Å)), based on a cell relaxed with PBE.
Kinematic intensities with the Lorentz-polarization factor, no thermal factor.

Top 10 peaks for 10° ≤ 2θ ≤ 80°, in order of falling intensity:
- 32.1 deg, intensity 100
- 46.2 deg, intensity 68
- 13.7 deg, intensity 50
- 13.9 deg, intensity 47
- 32.3 deg, intensity 46
- 40.0 deg, intensity 38
- 42.4 deg, intensity 30
- 42.0 deg, intensity 24
- 26.4 deg, intensity 22
- 26.7 deg, intensity 22

Structural model:
Cell: 7.855 7.855 7.855 Å, 120.51 119.09 90.35°
Element x y z (fractional)
Ta  0.192  0.005  0.812
Ta  0.192  0.380  0.188
Ta  0.208  0.000  0.208
Ta  0.792  0.000  0.792
Ga  0.602  0.602  0.000
Te  0.011  0.732  0.279
Te  0.453  0.732  0.721
Te  0.458  0.187  0.729
Te  0.458  0.729  0.271
Te  0.951  0.221  0.271
Te  0.951  0.680  0.729
Se  0.487  0.225  0.262
Se  0.964  0.225  0.738

7.
BaSr2P2O8: simulated powder diffraction line list (Cu Kα (λ = 1.5418 Å)), based on a cell relaxed with PBE.
Kinematic intensities with the Lorentz-polarization factor, no thermal factor.

Top 10 peaks for 10° ≤ 2θ ≤ 80°, in order of falling intensity:
- 28.7 deg, intensity 100
- 32.3 deg, intensity 91
- 43.8 deg, intensity 44
- 55.5 deg, intensity 27
- 25.5 deg, intensity 23
- 41.6 deg, intensity 20
- 48.4 deg, intensity 20
- 52.1 deg, intensity 20
- 19.0 deg, intensity 17
- 57.7 deg, intensity 16

Structural model:
Cell: 7.521 7.521 7.521 Å, 43.18 43.18 43.18°
Element x y z (fractional)
Ba  0.000  0.000  0.000
Sr  0.209  0.209  0.209
Sr  0.791  0.791  0.791
P  0.410  0.410  0.410
P  0.590  0.590  0.590
O  0.257  0.717  0.717
O  0.283  0.283  0.743
O  0.283  0.743  0.283
O  0.334  0.334  0.334
O  0.666  0.666  0.666
O  0.717  0.257  0.717
O  0.717  0.717  0.257
O  0.743  0.283  0.283

8.
Ca2TlIn: simulated powder diffraction line list (Cu Kα (λ = 1.5418 Å)), based on a cell relaxed with PBE.
Kinematic intensities with the Lorentz-polarization factor, no thermal factor.

Top 10 peaks for 10° ≤ 2θ ≤ 80°, in order of falling intensity:
- 32.5 deg, intensity 100
- 22.8 deg, intensity 39
- 58.0 deg, intensity 37
- 46.7 deg, intensity 18
- 52.6 deg, intensity 18
- 77.5 deg, intensity 16
- 40.1 deg, intensity 13
- 68.1 deg, intensity 11
- 19.7 deg, intensity 9
- 72.9 deg, intensity 9

Structural model:
Cell: 5.506 5.506 5.506 Å, 60.00 60.00 60.00°
Element x y z (fractional)
Ca  0.250  0.250  0.250
Ca  0.750  0.750  0.750
Tl  0.000  0.000  0.000
In  0.500  0.500  0.500

9.
NaSrPrNbO6: simulated powder diffraction line list (Cu Kα (λ = 1.5418 Å)), based on a cell relaxed with PBE.
Kinematic intensities with the Lorentz-polarization factor, no thermal factor.

Top 10 peaks for 10° ≤ 2θ ≤ 80°, in order of falling intensity:
- 29.1 deg, intensity 100
- 51.6 deg, intensity 40
- 41.6 deg, intensity 36
- 20.5 deg, intensity 31
- 60.3 deg, intensity 22
- 68.4 deg, intensity 18
- 46.8 deg, intensity 12
- 17.7 deg, intensity 11
- 34.3 deg, intensity 8
- 76.0 deg, intensity 7

Structural model:
Cell: 6.137 6.137 6.137 Å, 60.00 60.00 60.00°
Element x y z (fractional)
Na  0.000  0.000  0.000
Sr  0.500  0.500  0.500
Pr  0.250  0.250  0.250
Nb  0.750  0.750  0.750
O  0.519  0.519  0.981
O  0.519  0.981  0.519
O  0.519  0.981  0.981
O  0.981  0.519  0.519
O  0.981  0.519  0.981
O  0.981  0.981  0.519

10.
BaSrPrTiO6: simulated powder diffraction line list (Cu Kα (λ = 1.5418 Å)), based on a cell relaxed with PBE.
Kinematic intensities with the Lorentz-polarization factor, no thermal factor.

Top 10 peaks for 10° ≤ 2θ ≤ 80°, in order of falling intensity:
- 29.6 deg, intensity 100
- 42.4 deg, intensity 37
- 29.4 deg, intensity 34
- 29.7 deg, intensity 32
- 29.8 deg, intensity 32
- 52.4 deg, intensity 29
- 52.9 deg, intensity 21
- 42.5 deg, intensity 19
- 61.5 deg, intensity 16
- 52.7 deg, intensity 14

Structural model:
Cell: 6.026 6.047 8.515 Å, 89.46 89.44 90.00°
Element x y z (fractional)
Ba  0.006  0.027  0.250
Ba  0.994  0.973  0.750
Sr  0.492  0.536  0.245
Sr  0.508  0.464  0.755
Pr  0.000  0.500  0.000
Pr  0.500  0.000  0.500
Ti  0.000  0.500  0.500
Ti  0.500  0.000  0.000
O  0.085  0.507  0.727
O  0.195  0.759  0.462
O  0.241  0.802  0.032
O  0.261  0.305  0.454
O  0.312  0.267  0.043
O  0.435  0.034  0.773
O  0.565  0.966  0.227
O  0.688  0.733  0.957
O  0.739  0.695  0.546
O  0.759  0.198  0.968
O  0.805  0.241  0.538
O  0.915  0.493  0.273

11.
Ta6Cr3Cu3C2: simulated powder diffraction line list (Cu Kα (λ = 1.5418 Å)), based on a cell relaxed with PBE.
Kinematic intensities with the Lorentz-polarization factor, no thermal factor.

Top 10 peaks for 10° ≤ 2θ ≤ 80°, in order of falling intensity:
- 40.7 deg, intensity 100
- 40.9 deg, intensity 98
- 38.2 deg, intensity 69
- 31.1 deg, intensity 57
- 40.6 deg, intensity 44
- 38.5 deg, intensity 44
- 44.6 deg, intensity 42
- 69.3 deg, intensity 41
- 69.2 deg, intensity 38
- 69.6 deg, intensity 24

Structural model:
Cell: 8.131 8.131 8.131 Å, 120.47 119.62 89.92°
Element x y z (fractional)
Ta  0.000  0.000  0.000
Ta  0.001  0.004  0.618
Ta  0.001  0.383  0.997
Ta  0.248  0.137  0.501
Ta  0.248  0.747  0.110
Ta  0.251  0.751  0.500
Ta  0.385  0.004  0.003
Ta  0.385  0.383  0.382
Ta  0.385  0.385  0.000
Ta  0.636  0.137  0.890
Ta  0.636  0.747  0.499
Ta  0.637  0.137  0.500
Cr  0.022  0.369  0.653
Cr  0.316  0.563  0.753
Cr  0.716  0.369  0.347
Cr  0.809  0.563  0.247
Cr  0.817  0.084  0.267
Cr  0.817  0.551  0.733
Cu  0.027  0.364  0.337
Cu  0.027  0.690  0.663
Cu  0.611  0.448  0.837
Cu  0.611  0.774  0.163
Cu  0.612  0.774  0.838
Cu  0.937  0.774  0.162
C  0.315  0.065  0.250
C  0.317  0.067  0.750
C  0.317  0.568  0.250
C  0.816  0.065  0.750

What is the formula in the third record? LiB6H6

Copy entry 9 word for word.
NaSrPrNbO6: simulated powder diffraction line list (Cu Kα (λ = 1.5418 Å)), based on a cell relaxed with PBE.
Kinematic intensities with the Lorentz-polarization factor, no thermal factor.

Top 10 peaks for 10° ≤ 2θ ≤ 80°, in order of falling intensity:
- 29.1 deg, intensity 100
- 51.6 deg, intensity 40
- 41.6 deg, intensity 36
- 20.5 deg, intensity 31
- 60.3 deg, intensity 22
- 68.4 deg, intensity 18
- 46.8 deg, intensity 12
- 17.7 deg, intensity 11
- 34.3 deg, intensity 8
- 76.0 deg, intensity 7

Structural model:
Cell: 6.137 6.137 6.137 Å, 60.00 60.00 60.00°
Element x y z (fractional)
Na  0.000  0.000  0.000
Sr  0.500  0.500  0.500
Pr  0.250  0.250  0.250
Nb  0.750  0.750  0.750
O  0.519  0.519  0.981
O  0.519  0.981  0.519
O  0.519  0.981  0.981
O  0.981  0.519  0.519
O  0.981  0.519  0.981
O  0.981  0.981  0.519

Number 1 is which compound? Ba3LiRu2O9